# 1
Calculated powder X-ray diffraction pattern
Compound: KSi4Pd4
Radiation: Cu Kα (λ = 1.5418 Å)
Structure: a crystal structure in the Materials Project, relaxed with PBE

Top 10 peaks for 2θ = 10–90°, by intensity:
two_theta	intensity
30.50	100
48.45	75
33.41	51
20.95	45
14.77	34
39.02	31
61.35	24
45.37	24
44.70	21
29.80	19

Structure:
Cell: 6.4256 6.4256 6.4256 Å, 97.42 97.42 137.89°
Fractional positions:
1 K 0.0000 0.0000 0.0000
2 Si 0.2314 0.7298 0.2767
3 Si 0.4531 0.9547 0.7233
4 Si 0.7298 0.4531 0.4984
5 Si 0.9547 0.2314 0.5016
6 Pd 0.0225 0.5159 0.8539
7 Pd 0.1686 0.0225 0.5066
8 Pd 0.5159 0.6620 0.4934
9 Pd 0.6620 0.1686 0.1461


# 2
Calculated powder X-ray diffraction pattern
Compound: K16Tl22Pd
Radiation: Cu Kα (λ = 1.5418 Å)
Structure: a crystal structure in the Materials Project, relaxed with PBE

Top 10 peaks for 2θ = 10–90°, by intensity:
two_theta	intensity
10.46	100
30.87	72
30.00	54
10.11	51
11.98	31
36.45	22
40.53	22
34.62	17
32.47	15
17.93	14

Structure:
Cell: 18.4900 18.4900 18.4900 Å, 32.40 32.40 32.40°
Fractional positions:
1 K 0.0743 0.8434 0.3993
2 K 0.1041 0.4365 0.6477
3 K 0.1566 0.9257 0.6008
4 K 0.1724 0.1724 0.1724
5 K 0.3274 0.3274 0.3274
6 K 0.3523 0.5635 0.8959
7 K 0.3992 0.0743 0.8434
8 K 0.4365 0.6477 0.1041
9 K 0.5635 0.8959 0.3523
10 K 0.6007 0.1566 0.9257
11 K 0.6477 0.1041 0.4365
12 K 0.6726 0.6726 0.6726
13 K 0.8276 0.8276 0.8276
14 K 0.8434 0.3993 0.0743
15 K 0.8959 0.3523 0.5635
16 K 0.9257 0.6008 0.1566
17 Tl 0.0000 0.2674 0.7326
18 Tl 0.0238 0.7540 0.3162
19 Tl 0.0546 0.0546 0.0546
20 Tl 0.1673 0.4789 0.7595
21 Tl 0.2405 0.5211 0.8327
22 Tl 0.2460 0.9762 0.6838
23 Tl 0.2674 0.7326 0.0000
24 Tl 0.2820 0.7180 0.5000
25 Tl 0.3162 0.0238 0.7540
26 Tl 0.4484 0.4484 0.4484
27 Tl 0.4789 0.7595 0.1673
28 Tl 0.5000 0.2820 0.7180
29 Tl 0.5211 0.8327 0.2405
30 Tl 0.5516 0.5516 0.5516
31 Tl 0.6838 0.2460 0.9762
32 Tl 0.7180 0.5000 0.2820
33 Tl 0.7326 0.0000 0.2674
34 Tl 0.7540 0.3162 0.0238
35 Tl 0.7595 0.1673 0.4789
36 Tl 0.8327 0.2405 0.5211
37 Tl 0.9454 0.9454 0.9454
38 Tl 0.9762 0.6838 0.2460
39 Pd 0.0000 0.0000 0.0000


# 3
Calculated powder X-ray diffraction pattern
Compound: K3Pm
Radiation: Cu Kα (λ = 1.5418 Å)
Structure: a crystal structure in the Materials Project, relaxed with PBE

Top 10 peaks for 2θ = 10–90°, by intensity:
two_theta	intensity
26.88	100
17.18	40
25.04	27
49.28	23
23.73	23
45.26	23
41.72	19
20.51	19
11.80	18
34.05	18

Structure:
Cell: 8.6592 8.6592 7.1118 Å, 90.00 90.00 120.00°
Fractional positions:
1 K 0.1707 0.3414 0.2500
2 K 0.1707 0.8293 0.2500
3 K 0.3414 0.1707 0.7500
4 K 0.6586 0.8293 0.2500
5 K 0.8293 0.1707 0.7500
6 K 0.8293 0.6586 0.7500
7 Pm 0.3333 0.6667 0.7500
8 Pm 0.6667 0.3333 0.2500


# 4
Calculated powder X-ray diffraction pattern
Compound: K3Pm
Radiation: Cu Kα (λ = 1.5418 Å)
Structure: a crystal structure in the Materials Project, relaxed with PBE

Top 10 peaks for 2θ = 10–90°, by intensity:
two_theta	intensity
25.44	100
16.64	39
30.82	30
41.11	26
51.64	26
26.53	22
46.17	18
13.17	16
25.11	15
65.80	13

Structure:
Cell: 5.8020 5.8020 13.4404 Å, 90.00 90.00 90.00°
Fractional positions:
1 K 0.0000 0.0000 0.0000
2 K 0.0000 0.5000 0.2500
3 K 0.0000 0.5000 0.7500
4 K 0.5000 0.0000 0.2500
5 K 0.5000 0.0000 0.7500
6 K 0.5000 0.5000 0.5000
7 Pm 0.0000 0.0000 0.5000
8 Pm 0.5000 0.5000 0.0000


# 5
Calculated powder X-ray diffraction pattern
Compound: KPm
Radiation: Cu Kα (λ = 1.5418 Å)
Structure: a crystal structure in the Materials Project, relaxed with PBE

Top 10 peaks for 2θ = 10–90°, by intensity:
two_theta	intensity
30.44	100
12.23	51
27.77	37
24.60	35
37.43	34
47.10	29
55.68	21
49.11	15
58.89	15
80.13	12

Structure:
Cell: 3.7101 3.7101 7.2389 Å, 90.00 90.00 120.00°
Fractional positions:
1 K 0.0000 0.0000 0.0000
2 Pm 0.6667 0.3333 0.5000


# 6
Calculated powder X-ray diffraction pattern
Compound: KPr3
Radiation: Cu Kα (λ = 1.5418 Å)
Structure: a crystal structure in the Materials Project, relaxed with PBE

Top 10 peaks for 2θ = 10–90°, by intensity:
two_theta	intensity
28.54	100
33.07	51
56.32	44
47.46	37
76.67	17
79.04	16
16.36	13
59.06	13
88.39	12
23.22	11

Structure:
Cell: 5.4178 5.4178 5.4178 Å, 90.00 90.00 90.00°
Fractional positions:
1 K 0.0000 0.0000 0.0000
2 Pr 0.0000 0.5000 0.5000
3 Pr 0.5000 0.0000 0.5000
4 Pr 0.5000 0.5000 0.0000


# 7
Calculated powder X-ray diffraction pattern
Compound: K3Pr
Radiation: Cu Kα (λ = 1.5418 Å)
Structure: a crystal structure in the Materials Project, relaxed with PBE

Top 10 peaks for 2θ = 10–90°, by intensity:
two_theta	intensity
26.77	100
17.08	38
24.81	27
49.04	23
44.91	23
23.66	23
41.60	19
20.46	18
11.77	17
33.92	17

Structure:
Cell: 8.6835 8.6835 7.1767 Å, 90.00 90.00 120.00°
Fractional positions:
1 K 0.1708 0.3416 0.2500
2 K 0.1708 0.8292 0.2500
3 K 0.3416 0.1708 0.7500
4 K 0.6584 0.8292 0.2500
5 K 0.8292 0.1708 0.7500
6 K 0.8292 0.6584 0.7500
7 Pr 0.3333 0.6667 0.7500
8 Pr 0.6667 0.3333 0.2500


# 8
Calculated powder X-ray diffraction pattern
Compound: K3Pr
Radiation: Cu Kα (λ = 1.5418 Å)
Structure: a crystal structure in the Materials Project, relaxed with PBE

Top 10 peaks for 2θ = 10–90°, by intensity:
two_theta	intensity
25.31	100
16.57	37
30.69	30
40.88	26
51.40	26
26.34	23
45.87	19
13.08	15
24.97	14
51.98	13

Structure:
Cell: 5.8260 5.8260 13.5326 Å, 90.00 90.00 90.00°
Fractional positions:
1 K 0.0000 0.0000 0.0000
2 K 0.0000 0.5000 0.2500
3 K 0.0000 0.5000 0.7500
4 K 0.5000 0.0000 0.2500
5 K 0.5000 0.0000 0.7500
6 K 0.5000 0.5000 0.5000
7 Pr 0.0000 0.0000 0.5000
8 Pr 0.5000 0.5000 0.0000


# 9
Calculated powder X-ray diffraction pattern
Compound: KPr3
Radiation: Cu Kα (λ = 1.5418 Å)
Structure: a crystal structure in the Materials Project, relaxed with PBE

Top 10 peaks for 2θ = 10–90°, by intensity:
two_theta	intensity
29.89	100
55.42	29
25.83	20
53.03	18
45.55	15
12.83	14
39.88	12
37.62	11
74.48	9
80.26	8

Structure:
Cell: 7.9665 7.9665 5.9856 Å, 90.00 90.00 120.00°
Fractional positions:
1 K 0.3333 0.6667 0.2500
2 K 0.6667 0.3333 0.7500
3 Pr 0.1546 0.3092 0.7500
4 Pr 0.1546 0.8454 0.7500
5 Pr 0.3092 0.1546 0.2500
6 Pr 0.6908 0.8454 0.7500
7 Pr 0.8454 0.1546 0.2500
8 Pr 0.8454 0.6908 0.2500


# 10
Calculated powder X-ray diffraction pattern
Compound: KPrS2
Radiation: Cu Kα (λ = 1.5418 Å)
Structure: a crystal structure in the Materials Project, relaxed with PBE

Top 10 peaks for 2θ = 10–90°, by intensity:
two_theta	intensity
29.19	100
11.96	60
40.78	35
42.72	35
25.59	30
24.61	22
52.58	18
37.50	16
69.98	15
44.52	15

Structure:
Cell: 4.2335 4.2335 22.2008 Å, 90.00 90.00 120.00°
Fractional positions:
1 K 0.0000 0.0000 0.0000
2 K 0.3333 0.6667 0.6667
3 K 0.6667 0.3333 0.3333
4 Pr 0.0000 0.0000 0.5000
5 Pr 0.3333 0.6667 0.1667
6 Pr 0.6667 0.3333 0.8333
7 S 0.0000 0.0000 0.2362
8 S 0.0000 0.0000 0.7638
9 S 0.3333 0.6667 0.4305
10 S 0.3333 0.6667 0.9029
11 S 0.6667 0.3333 0.0971
12 S 0.6667 0.3333 0.5695